Simulated powder diffractogram of Hg for CuKα, from DFT lattice parameters and positions (GGA-PBE).

Largest 8 diffraction maxima, most intense first, 2θ from 5° to 70°:
- 2θ = 33.2°, intensity 100
- 2θ = 27.6°, intensity 73
- 2θ = 52.5°, intensity 39
- 2θ = 39.5°, intensity 24
- 2θ = 33.8°, intensity 19
- 2θ = 62.6°, intensity 15
- 2θ = 53.0°, intensity 13
- 2θ = 69.7°, intensity 9

Crystal structure
abc: 6.4543 6.4543 6.6894
angles: 90.00 90.00 90.00
Element x y z (fractional)
1 Hg 0.2043 0.7500 0.1250
2 Hg 0.2500 0.2043 0.8750
3 Hg 0.2500 0.2957 0.3750
4 Hg 0.2957 0.7500 0.6250
5 Hg 0.7043 0.2500 0.6250
6 Hg 0.7500 0.7043 0.3750
7 Hg 0.7500 0.7957 0.8750
8 Hg 0.7957 0.2500 0.1250


Simulated powder diffractogram of Mg5Si9 for CuKα, from DFT lattice parameters and positions (GGA-PBE).

Largest 8 diffraction maxima, most intense first, 2θ from 5° to 70°:
- 2θ = 33.5°, intensity 100
- 2θ = 35.9°, intensity 84
- 2θ = 34.9°, intensity 65
- 2θ = 31.1°, intensity 62
- 2θ = 39.2°, intensity 62
- 2θ = 35.7°, intensity 58
- 2θ = 29.9°, intensity 57
- 2θ = 31.7°, intensity 55

Crystal structure
abc: 6.7085 7.4898 12.0653
angles: 84.00 82.32 63.54
Element x y z (fractional)
1 Mg 0.0000 0.0000 0.0000
2 Mg 0.0312 0.2235 0.2185
3 Mg 0.1898 0.5503 0.1029
4 Mg 0.2473 0.2411 0.5820
5 Mg 0.4469 0.9627 0.3815
6 Mg 0.4918 0.0002 0.0219
7 Mg 0.6550 0.4599 0.6539
8 Mg 0.7063 0.4813 0.0552
9 Mg 0.8170 0.6791 0.8313
10 Mg 0.9085 0.5700 0.4379
11 Si 0.0105 0.2363 0.7924
12 Si 0.0695 0.8746 0.3880
13 Si 0.1211 0.3239 0.9540
14 Si 0.1448 0.7213 0.6964
15 Si 0.2534 0.5968 0.5165
16 Si 0.3012 0.8215 0.2079
17 Si 0.3158 0.9073 0.7504
18 Si 0.3536 0.3342 0.2988
19 Si 0.3642 0.4446 0.8435
20 Si 0.3981 0.7104 0.9257
21 Si 0.5856 0.4212 0.3951
22 Si 0.5888 0.8575 0.5928
23 Si 0.6478 0.1630 0.1583
24 Si 0.6894 0.6331 0.2487
25 Si 0.7090 0.1340 0.8236
26 Si 0.8044 0.0106 0.6396
27 Si 0.8871 0.8453 0.2357
28 Si 0.9133 0.1846 0.4829


Simulated powder diffractogram of Ba2NdTaO6 for CuKα, from DFT lattice parameters and positions (GGA-PBE).

Largest 8 diffraction maxima, most intense first, 2θ from 5° to 70°:
- 2θ = 29.0°, intensity 100
- 2θ = 51.5°, intensity 41
- 2θ = 41.5°, intensity 28
- 2θ = 68.2°, intensity 19
- 2θ = 60.2°, intensity 18
- 2θ = 20.4°, intensity 4
- 2θ = 17.7°, intensity 2
- 2θ = 46.7°, intensity 1

Crystal structure
abc: 6.1503 6.1503 6.1503
angles: 60.00 60.00 60.00
Element x y z (fractional)
1 Ba 0.2500 0.2500 0.2500
2 Ba 0.7500 0.7500 0.7500
3 Nd 0.0000 0.0000 0.0000
4 Ta 0.5000 0.5000 0.5000
5 O 0.2688 0.2688 0.7312
6 O 0.2688 0.7312 0.2688
7 O 0.2688 0.7312 0.7312
8 O 0.7312 0.2688 0.2688
9 O 0.7312 0.2688 0.7312
10 O 0.7312 0.7312 0.2688


Simulated powder diffractogram of Nb2CrSe4 for CuKα, from DFT lattice parameters and positions (GGA-PBE).

Largest 8 diffraction maxima, most intense first, 2θ from 5° to 70°:
- 2θ = 32.1°, intensity 100
- 2θ = 41.7°, intensity 61
- 2θ = 32.0°, intensity 49
- 2θ = 40.9°, intensity 36
- 2θ = 50.0°, intensity 35
- 2θ = 14.3°, intensity 28
- 2θ = 51.7°, intensity 26
- 2θ = 39.9°, intensity 19

Crystal structure
abc: 13.7168 3.5351 6.3895
angles: 90.00 115.72 90.00
Element x y z (fractional)
1 Nb 0.2433 0.0000 0.1790
2 Nb 0.2567 0.5000 0.8210
3 Nb 0.7433 0.5000 0.1790
4 Nb 0.7567 0.0000 0.8210
5 Cr 0.0000 0.5000 0.5000
6 Cr 0.5000 0.0000 0.5000
7 Se 0.1003 0.5000 0.9455
8 Se 0.1357 0.0000 0.4764
9 Se 0.3643 0.5000 0.5236
10 Se 0.3997 0.0000 0.0545
11 Se 0.6003 0.0000 0.9455
12 Se 0.6357 0.5000 0.4764
13 Se 0.8643 0.0000 0.5236
14 Se 0.8997 0.5000 0.0545


Simulated powder diffractogram of CsB6I6 for CuKα, from DFT lattice parameters and positions (GGA-PBE).

Largest 8 diffraction maxima, most intense first, 2θ from 5° to 70°:
- 2θ = 26.6°, intensity 100
- 2θ = 25.3°, intensity 50
- 2θ = 26.7°, intensity 35
- 2θ = 28.1°, intensity 34
- 2θ = 26.2°, intensity 32
- 2θ = 28.9°, intensity 29
- 2θ = 27.0°, intensity 27
- 2θ = 25.5°, intensity 25

Crystal structure
abc: 18.2570 18.2570 18.2570
angles: 34.30 34.30 34.30
Element x y z (fractional)
1 Cs 0.1268 0.1268 0.1268
2 Cs 0.2900 0.2900 0.2900
3 Cs 0.7100 0.7100 0.7100
4 Cs 0.8732 0.8732 0.8732
5 B 0.0053 0.0504 0.8655
6 B 0.0504 0.8655 0.0053
7 B 0.0571 0.1305 0.8311
8 B 0.1305 0.8311 0.0571
9 B 0.1345 0.9947 0.9496
10 B 0.1689 0.9429 0.8695
11 B 0.3257 0.6311 0.5244
12 B 0.3689 0.4756 0.6743
13 B 0.3879 0.4549 0.5780
14 B 0.4220 0.6121 0.5451
15 B 0.4549 0.5780 0.3879
16 B 0.4756 0.6743 0.3689
17 B 0.5244 0.3257 0.6311
18 B 0.5451 0.4220 0.6121
19 B 0.5780 0.3879 0.4549
20 B 0.6121 0.5451 0.4220
21 B 0.6311 0.5244 0.3257
22 B 0.6743 0.3689 0.4756
23 B 0.8311 0.0571 0.1305
24 B 0.8655 0.0053 0.0504
25 B 0.8695 0.1689 0.9429
26 B 0.9429 0.8695 0.1689
27 B 0.9496 0.1345 0.9947
28 B 0.9947 0.9496 0.1345
29 I 0.0096 0.1160 0.6942
30 I 0.1018 0.7977 0.5550
31 I 0.1160 0.6942 0.0096
32 I 0.1285 0.2991 0.6180
33 I 0.2023 0.4450 0.8982
34 I 0.2438 0.3990 0.6771
35 I 0.2991 0.6180 0.1285
36 I 0.3058 0.9904 0.8840
37 I 0.3229 0.7562 0.6010
38 I 0.3820 0.8715 0.7009
39 I 0.3990 0.6771 0.2438
40 I 0.4450 0.8982 0.2023
41 I 0.5550 0.1018 0.7977
42 I 0.6010 0.3229 0.7562
43 I 0.6180 0.1285 0.2991
44 I 0.6771 0.2438 0.3990
45 I 0.6942 0.0096 0.1160
46 I 0.7009 0.3820 0.8715
47 I 0.7562 0.6010 0.3229
48 I 0.7977 0.5550 0.1018
49 I 0.8715 0.7009 0.3820
50 I 0.8840 0.3058 0.9904
51 I 0.8982 0.2023 0.4450
52 I 0.9904 0.8840 0.3058